NdAl2Au10: simulated powder diffraction line list (Cu Kα (λ = 1.5418 Å)), based on the PBE geometry in Alexandria.

Top 8 peaks for 2θ = 10–90°, in order of rising 2θ:
31.93 deg, I = 61.1, (2 0 0); 32.69 deg, I = 76.0, (1 3 3); 37.23 deg, I = 98.9, (1 1 5); 37.33 deg, I = 63.0, (2 2 2); 38.22 deg, I = 100.0, (0 4 4); 38.75 deg, I = 59.3, (1 5 1); 41.67 deg, I = 66.6, (2 0 4); 42.60 deg, I = 83.6, (2 4 0)

Structural model:
a b c (Å): 5.606 12.995 13.676
angles (deg): 90.00 90.00 90.00
Space group Fmmm (No. 69)
Symmetry-distinct sites (fractional):
Nd 0.000 0.000 0.000 (multiplicity 4)
Al 0.250 0.000 0.250 (multiplicity 8)
Au 0.000 0.107 0.386 (multiplicity 16)
Au 0.000 0.157 0.173 (multiplicity 16)
Au 0.250 0.250 0.000 (multiplicity 8)